Theoretical powder diffraction line list
Compound: Ca2Sn4Pd3
Radiation: Cu Ka
Structure: a crystal structure in Alexandria, relaxed with PBE
Intensities are scaled so that the largest is 100.

The 10 most intense peaks (2θ from 10° to 90°), sorted by position:
2theta	Rel. int.	h k l
17.3	23.9	0 2 0
18.6	40.5	1 1 1
30.4	20.1	2 0 0
36.3	100.0	1 3 3
37.7	37.6	2 2 2
39.7	29.5	0 0 6
40.5	22.5	2 0 4
44.4	21.0	2 2 4
58.0	26.1	3 3 3
77.1	21.2	2 6 6

Cell and atoms:
Unit cell a=5.876 b=10.227 c=13.635 alpha=90.00 beta=90.00 gamma=90.00
Space group Fmmm (No. 69)
Symmetry-distinct sites (fractional):
Ca (0.000, 0.000, 0.127) (multiplicity 8)
Sn (0.000, 0.165, 0.341) (multiplicity 16)
Pd (0.000, 0.000, 0.500) (multiplicity 4)
Pd (0.250, 0.250, 0.000) (multiplicity 8)



Theoretical powder diffraction line list
Compound: LaNi3Rh2
Radiation: Cu Ka
Structure: a crystal structure in Alexandria, relaxed with PBE
Intensities are scaled so that the largest is 100.

The 10 most intense peaks (2θ from 10° to 90°), sorted by position:
2theta	Rel. int.	h k l
21.1	13.1	0 0 1
29.3	13.9	1 0 1
35.2	36.9	1 1 0
40.9	15.6	2 0 0
41.4	100.0	1 1 1
43.0	25.8	0 0 2
56.8	18.6	1 1 2
67.5	22.8	3 0 1
74.5	14.3	2 2 0
77.8	15.1	1 1 3

Cell and atoms:
Unit cell a=5.0950 b=5.0950 c=4.2053 alpha=90.00 beta=90.00 gamma=120.00
Space group P6/mmm (No. 191)
Symmetry-distinct sites (fractional):
La (0.0000, 0.0000, 0.0000) (multiplicity 1)
Ni (0.0000, 0.5000, 0.5000) (multiplicity 3)
Rh (0.3333, 0.6667, 0.0000) (multiplicity 2)



Theoretical powder diffraction line list
Compound: EuTiAgO4
Radiation: Cu Ka
Structure: a crystal structure in Alexandria, relaxed with PBE
Intensities are scaled so that the largest is 100.

The 10 most intense peaks (2θ from 10° to 90°), sorted by position:
2theta	Rel. int.	h k l
24.9	13.8	1 1 1
31.2	100.0	3 1 1
34.0	26.7	0 2 0
34.3	26.8	0 0 2
39.9	16.5	6 0 0
49.1	26.2	0 2 2
53.4	14.8	6 2 0
59.2	17.6	3 3 1
59.5	15.7	3 1 3
65.0	13.2	6 2 2

Cell and atoms:
Unit cell a=13.567 b=5.267 c=5.225 alpha=90.00 beta=90.00 gamma=90.00
Space group Pbcm (No. 57)
Symmetry-distinct sites (fractional):
Eu (0.103, 0.012, 0.250) (multiplicity 4)
Ti (0.265, 0.505, 0.250) (multiplicity 4)
Ag (0.428, 0.001, 0.250) (multiplicity 4)
O (0.065, 0.033, 0.750) (multiplicity 4)
O (0.219, 0.750, 0.000) (multiplicity 4)
O (0.231, 0.250, 0.000) (multiplicity 4)
O (0.398, 0.522, 0.250) (multiplicity 4)



Theoretical powder diffraction line list
Compound: Si2AgP
Radiation: Cu Ka
Structure: a crystal structure in Alexandria, relaxed with PBE
Intensities are scaled so that the largest is 100.

The 10 most intense peaks (2θ from 10° to 90°), sorted by position:
2theta	Rel. int.	h k l
10.1	87.6	0 0 1
20.2	27.7	0 0 2
30.6	17.2	0 0 3
36.0	31.4	1 1 1
38.5	29.5	0 2 0
40.3	100.0	1 1 2
41.2	21.2	0 0 4
57.7	15.0	0 2 4
70.9	17.7	1 3 2
74.4	18.8	2 0 4

Cell and atoms:
Unit cell a=3.134 b=4.672 c=8.773 alpha=90.00 beta=90.00 gamma=90.00
Space group Cmm2 (No. 35)
Symmetry-distinct sites (fractional):
Si (0.000, 0.000, 0.000) (multiplicity 2)
Si (0.000, 0.500, 0.238) (multiplicity 2)
Ag (0.000, 0.500, 0.738) (multiplicity 2)
P (0.000, 0.000, 0.450) (multiplicity 2)



Q: Which formula does entry 2 have?
A: LaNi3Rh2



Repeat the second record exactly.
Theoretical powder diffraction line list
Compound: LaNi3Rh2
Radiation: Cu Ka
Structure: a crystal structure in Alexandria, relaxed with PBE
Intensities are scaled so that the largest is 100.

The 10 most intense peaks (2θ from 10° to 90°), sorted by position:
2theta	Rel. int.	h k l
21.1	13.1	0 0 1
29.3	13.9	1 0 1
35.2	36.9	1 1 0
40.9	15.6	2 0 0
41.4	100.0	1 1 1
43.0	25.8	0 0 2
56.8	18.6	1 1 2
67.5	22.8	3 0 1
74.5	14.3	2 2 0
77.8	15.1	1 1 3

Cell and atoms:
Unit cell a=5.0950 b=5.0950 c=4.2053 alpha=90.00 beta=90.00 gamma=120.00
Space group P6/mmm (No. 191)
Symmetry-distinct sites (fractional):
La (0.0000, 0.0000, 0.0000) (multiplicity 1)
Ni (0.0000, 0.5000, 0.5000) (multiplicity 3)
Rh (0.3333, 0.6667, 0.0000) (multiplicity 2)